No. 1
# HoTm2Tl6
Simulated X-ray diffraction stick pattern, a wavelength of 1.5418 Å. Input: a GGA-PBE-relaxed structure.

The 6 most intense peaks (5° ≤ 2θ ≤ 70°), by intensity:
index	2θ (°)	I (rel.)
4 2 -1	32.95	100
1 1 2	30.39	59
0 4 0	31.78	54
5 1 1	36.68	40
1 3 2	38.04	39
5 3 1	43.36	21

a = 13.945 Å, b = 11.262 Å, c = 6.309 Å
α = 90.00°, β = 92.39°, γ = 90.00°
Space group C2/c (No. 15)
One atom of each set of equivalent atoms:
Ho 0.000 0.120 0.250 [4 per cell]
Tm 0.167 0.380 0.416 [8 per cell]
Tl 0.054 0.368 0.974 [8 per cell]
Tl 0.112 0.134 0.696 [8 per cell]
Tl 0.222 0.132 0.140 [8 per cell]

No. 2
# HoTm6Tl6
Simulated X-ray diffraction stick pattern, a wavelength of 1.5418 Å. Input: a GGA-PBE-relaxed structure.

The 6 most intense peaks (5° ≤ 2θ ≤ 70°), by intensity:
index	2θ (°)	I (rel.)
2 0 2	36.87	100
1 1 2	32.95	69
2 0 0	32.46	56
2 2 0	57.91	33
0 0 4	34.40	29
1 1 0	28.02	27

a = 6.3697 Å, b = 6.3697 Å, c = 10.4290 Å
α = 90.00°, β = 90.00°, γ = 120.00°
Space group P6/mmm (No. 191)
One atom of each set of equivalent atoms:
Ho 0.0000 0.0000 0.0000 [1 per cell]
Tm 0.0000 0.0000 0.3389 [2 per cell]
Tm 0.3333 0.6667 0.0000 [2 per cell]
Tm 0.3333 0.6667 0.5000 [2 per cell]
Tl 0.0000 0.5000 0.2459 [6 per cell]

No. 3
# Ho3Tm5Tl2
Simulated X-ray diffraction stick pattern, a wavelength of 1.5418 Å. Input: a GGA-PBE-relaxed structure.

The 6 most intense peaks (5° ≤ 2θ ≤ 70°), by intensity:
index	2θ (°)	I (rel.)
0 2 2	30.51	100
4 0 2	40.23	45
2 5 1	35.45	36
0 4 2	36.78	35
2 5 3	54.68	20
2 3 1	26.44	19

a = 12.680 Å, b = 15.341 Å, c = 6.342 Å
α = 90.00°, β = 90.00°, γ = 90.00°
Space group Ibam (No. 72)
One atom of each set of equivalent atoms:
Ho 0.000 0.000 0.250 [4 per cell]
Ho 0.121 0.223 0.000 [8 per cell]
Tm 0.000 0.500 0.250 [4 per cell]
Tm 0.113 0.335 0.500 [8 per cell]
Tm 0.248 0.500 0.250 [8 per cell]
Tl 0.133 0.146 0.500 [8 per cell]

No. 4
# HoTm2Tl3
Simulated X-ray diffraction stick pattern, a wavelength of 1.5418 Å. Input: a GGA-PBE-relaxed structure.

The 6 most intense peaks (5° ≤ 2θ ≤ 70°), by intensity:
index	2θ (°)	I (rel.)
1 0 3	33.12	100
1 1 0	34.98	43
2 1 3	61.56	34
1 1 6	57.93	21
2 0 0	50.31	16
2 0 6	69.49	12

a = 3.627 Å, b = 3.627 Å, c = 12.182 Å
α = 90.00°, β = 90.00°, γ = 90.00°
Space group P4/mmm (No. 123)
One atom of each set of equivalent atoms:
Ho 0.000 0.000 0.000 [1 per cell]
Tm 0.000 0.000 0.334 [2 per cell]
Tl 0.500 0.500 0.168 [2 per cell]
Tl 0.500 0.500 0.500 [1 per cell]

Which formula does entry 4 have? HoTm2Tl3

What is the formula in the third record? Ho3Tm5Tl2